For NdAl2Ge2, the GGA-PBE geometry in the Materials Project gives the computed X-ray powder pattern in this record (a wavelength of 1.5418 Å).
No peak broadening, texture or thermal motion is included.

Crystal structure
```
data_NdAl2Ge2
_chemical_formula_sum 'Nd1 Al2 Ge2'
_symmetry_space_group_name_H-M 'P -3 m 1'
_symmetry_Int_Tables_number 164
_symmetry_space_group_name_Hall '-P 3 2"'
_cell_length_a 4.3167
_cell_length_b 4.3167
_cell_length_c 6.8471
_cell_angle_alpha 90.00
_cell_angle_beta 90.00
_cell_angle_gamma 120.00
loop_
_atom_site_label
_atom_site_fract_x
_atom_site_fract_y
_atom_site_fract_z
_atom_site_occupancy
Nd1 0.0000 0.0000 0.0000 1
Al1 0.3333 0.6667 0.6429 1
Ge1 0.3333 0.6667 0.2669 1
```

Most intense lines, 15° ≤ 2θ ≤ 90°, most intense first:
hkl 0 1 1, d 3.281, 2θ = 27.18°, I = 1000; hkl 0 1 2, d 2.525, 2θ = 35.56°, I = 668; hkl 1 1 0, d 2.158, 2θ = 41.85°, I = 509; hkl 1 0 3, d 1.948, 2θ = 46.63°, I = 184; hkl 2 0 1, d 1.803, 2θ = 50.62°, I = 179; hkl 2 0 2, d 1.641, 2θ = 56.06°, I = 178; hkl 1 1 3, d 1.568, 2θ = 58.89°, I = 175; hkl 1 2 2, d 1.306, 2θ = 72.35°, I = 165; hkl 1 2 1, d 1.384, 2θ = 67.71°, I = 148; hkl 1 1 4, d 1.341, 2θ = 70.17°, I = 97

For Ca3Cu6As8O32, the GGA-PBE geometry in the Materials Project gives the computed X-ray powder pattern in this record (a wavelength of 1.5418 Å).
No peak broadening, texture or thermal motion is included.

Crystal structure
```
data_Ca3Cu6As8O32
_chemical_formula_sum 'Ca3 Cu6 As8 O32'
_symmetry_space_group_name_H-M 'P 1'
_symmetry_Int_Tables_number 1
_cell_length_a 5.033
_cell_length_b 9.488
_cell_length_c 14.945
_cell_angle_alpha 83.82
_cell_angle_beta 89.67
_cell_angle_gamma 89.06
loop_
_symmetry_equiv_pos_as_xyz
'x,y,z'
loop_
_atom_site_label
_atom_site_fract_x
_atom_site_fract_y
_atom_site_fract_z
_atom_site_occupancy
Ca1 0.000 0.000 0.000 1
Ca2 0.033 0.952 0.729 1
Ca3 0.537 0.458 0.239 1
Cu1 0.010 0.616 0.854 1
Cu2 0.042 0.955 0.238 1
Cu3 0.064 0.287 0.616 1
Cu4 0.524 0.781 0.119 1
Cu5 0.542 0.455 0.735 1
Cu6 0.561 0.125 0.356 1
As1 0.035 0.611 0.640 1
As2 0.039 0.335 0.398 1
As3 0.040 0.579 0.074 1
As4 0.048 0.299 0.827 1
As5 0.538 0.800 0.332 1
As6 0.538 0.835 0.895 1
As7 0.544 0.074 0.575 1
As8 0.550 0.110 0.144 1
O1 0.099 0.533 0.966 1
O2 0.129 0.206 0.736 1
O3 0.140 0.194 0.918 1
O4 0.151 0.752 0.085 1
O5 0.184 0.446 0.142 1
O6 0.204 0.844 0.876 1
O7 0.223 0.052 0.138 1
O8 0.235 0.459 0.810 1
O9 0.355 0.964 0.307 1
O10 0.365 0.552 0.638 1
O11 0.371 0.317 0.370 1
O12 0.411 0.939 0.644 1
O13 0.421 0.244 0.588 1
O14 0.448 0.692 0.421 1
O15 0.460 0.709 0.238 1
O16 0.487 0.031 0.466 1
O17 0.595 0.875 0.006 1
O18 0.619 0.205 0.233 1
O19 0.654 0.666 0.882 1
O20 0.666 0.187 0.046 1
O21 0.709 0.590 0.102 1
O22 0.709 0.970 0.839 1
O23 0.720 0.358 0.833 1
O24 0.744 0.946 0.162 1
O25 0.854 0.448 0.665 1
O26 0.865 0.857 0.334 1
O27 0.872 0.090 0.601 1
O28 0.903 0.470 0.330 1
O29 0.922 0.166 0.383 1
O30 0.947 0.718 0.551 1
O31 0.962 0.700 0.735 1
O32 0.984 0.379 0.506 1
```

Most intense lines, 15° ≤ 2θ ≤ 90°, most intense first:
hkl 0 0 4, d 3.715, 2θ = 23.95°, I = 1000; hkl 2 0 0, d 2.516, 2θ = 35.68°, I = 868; hkl 0 2 2, d 4.190, 2θ = 21.20°, I = 785; hkl 1 3 0, d 2.686, 2θ = 33.36°, I = 753; hkl 1 -3 0, d 2.647, 2θ = 33.86°, I = 712; hkl -1 2 1, d 3.383, 2θ = 26.34°, I = 673; hkl 1 2 1, d 3.441, 2θ = 25.90°, I = 671; hkl 1 1 -4, d 2.779, 2θ = 32.21°, I = 627; hkl 1 0 1, d 4.767, 2θ = 18.61°, I = 616; hkl 1 1 4, d 2.936, 2θ = 30.44°, I = 522